1.
Calculated powder XRD pattern of PrMn6Sn6 for Cu Kα X-rays, from a GGA-PBE-relaxed structure.

Peak list (10 most intense, 2θ from 15° to 90°, by angle)
(2 0 0), 32.51 deg, intensity 100
(2 0 6), 37.72 deg, intensity 27
(2 2 0), 38.13 deg, intensity 88
(0 4 0), 39.34 deg, intensity 24
(0 2 12), 42.75 deg, intensity 50
(1 4 3), 43.85 deg, intensity 19
(3 2 9), 61.73 deg, intensity 14
(2 0 18), 68.14 deg, intensity 20
(2 6 0), 70.53 deg, intensity 37
(3 6 9), 88.86 deg, intensity 21

Structural model:
```
data_PrMn6Sn6
_chemical_formula_sum 'Pr6 Mn36 Sn36'
_cell_length_a 5.5138
_cell_length_b 9.1605
_cell_length_c 28.5851
_cell_angle_alpha 90.00
_cell_angle_beta 90.00
_cell_angle_gamma 90.00
_symmetry_space_group_name_H-M 'I m m m'
_symmetry_Int_Tables_number 71
_symmetry_space_group_name_Hall '-I 2 2'
loop_
_atom_site_label
_atom_site_type_symbol
_atom_site_fract_x
_atom_site_fract_y
_atom_site_fract_z
Pr1 Pr 0.0000 0.0000 0.0000
Pr2 Pr 0.0000 0.5000 0.3309
Mn1 Mn 0.0000 0.2500 0.1664
Mn2 Mn 0.0000 0.2512 0.5000
Mn3 Mn 0.2500 0.2489 0.0834
Mn4 Mn 0.2500 0.2500 0.2500
Sn1 Sn 0.0000 0.0000 0.1122
Sn2 Sn 0.0000 0.0000 0.2245
Sn3 Sn 0.0000 0.0000 0.4446
Sn4 Sn 0.0000 0.1643 0.3339
Sn5 Sn 0.0000 0.3354 0.0000
Sn6 Sn 0.0000 0.5000 0.1100
Sn7 Sn 0.0000 0.5000 0.2190
Sn8 Sn 0.0000 0.5000 0.4437
```

---

2.
Calculated powder XRD pattern of Na2MgCu4O6 for Cu Kα X-rays, from a GGA-PBE-relaxed structure.

Peak list (10 most intense, 2θ from 15° to 90°, by angle)
(0 1 1), 22.97 deg, intensity 25
(1 0 0), 23.40 deg, intensity 27
(1 1 0), 25.18 deg, intensity 41
(1 0 -1), 28.97 deg, intensity 48
(1 2 0), 29.91 deg, intensity 39
(1 0 1), 34.16 deg, intensity 57
(0 3 1), 35.02 deg, intensity 57
(1 3 0), 36.56 deg, intensity 100
(0 0 2), 42.81 deg, intensity 40
(1 3 2), 60.70 deg, intensity 28

Structural model:
```
data_Na2MgCu4O6
_chemical_formula_sum 'Na2 Mg1 Cu4 O6'
_cell_length_a 3.8509
_cell_length_b 9.6660
_cell_length_c 4.2800
_cell_angle_alpha 90.00
_cell_angle_beta 99.22
_cell_angle_gamma 90.00
_symmetry_space_group_name_H-M 'P 1 m 1'
_symmetry_Int_Tables_number 6
_symmetry_space_group_name_Hall 'P -2y'
loop_
_atom_site_label
_atom_site_type_symbol
_atom_site_fract_x
_atom_site_fract_y
_atom_site_fract_z
Na1 Na 0.0000 0.0000 0.0000
Na2 Na 0.1606 0.5000 0.7056
Mg1 Mg 0.5599 0.5000 0.3222
Cu1 Cu 0.4676 0.1624 0.5391
Cu2 Cu 0.8345 0.3108 0.0713
O1 O 0.0470 0.5000 0.1721
O2 O 0.2241 0.0000 0.5194
O3 O 0.5008 0.1711 0.0438
O4 O 0.7031 0.3352 0.5840
```

---

3.
Calculated powder XRD pattern of Na3SO4F for Cu Kα X-rays, from a GGA-PBE-relaxed structure.

Peak list (10 most intense, 2θ from 15° to 90°, by angle)
(1 0 0), 17.95 deg, intensity 15
(1 1 0), 25.50 deg, intensity 47
(1 1 1), 31.36 deg, intensity 100
(2 0 0), 36.37 deg, intensity 34
(2 1 1), 44.94 deg, intensity 19
(2 2 0), 52.38 deg, intensity 61
(3 1 1), 62.33 deg, intensity 19
(2 2 2), 65.44 deg, intensity 12
(3 3 1), 85.71 deg, intensity 15
(4 2 0), 88.50 deg, intensity 18

Structural model:
```
data_Na3SO4F
_chemical_formula_sum 'Na3 S1 O4 F1'
_cell_length_a 4.9408
_cell_length_b 4.9408
_cell_length_c 4.9408
_cell_angle_alpha 90.00
_cell_angle_beta 90.00
_cell_angle_gamma 90.00
_symmetry_space_group_name_H-M 'P -4 3 m'
_symmetry_Int_Tables_number 215
_symmetry_space_group_name_Hall 'P -4 2 3'
loop_
_atom_site_label
_atom_site_type_symbol
_atom_site_fract_x
_atom_site_fract_y
_atom_site_fract_z
Na1 Na 0.0000 0.0000 0.5000
S1 S 0.5000 0.5000 0.5000
O1 O 0.3245 0.3245 0.3245
F1 F 0.0000 0.0000 0.0000
```

---

4.
Calculated powder XRD pattern of CeAl2BRu2 for Cu Kα X-rays, from a GGA-PBE-relaxed structure.

Peak list (10 most intense, 2θ from 15° to 90°, by angle)
(1 0 0), 21.12 deg, intensity 12
(1 0 1), 26.54 deg, intensity 27
(0 0 2), 32.11 deg, intensity 23
(1 1 1), 34.16 deg, intensity 100
(1 0 2), 38.75 deg, intensity 24
(2 0 0), 43.00 deg, intensity 37
(2 0 2), 54.66 deg, intensity 20
(1 1 3), 58.56 deg, intensity 19
(2 1 2), 59.25 deg, intensity 14
(3 1 1), 73.13 deg, intensity 21

Structural model:
```
data_CeAl2BRu2
_chemical_formula_sum 'Ce1 Al2 B1 Ru2'
_cell_length_a 4.2073
_cell_length_b 4.2073
_cell_length_c 5.5753
_cell_angle_alpha 90.00
_cell_angle_beta 90.00
_cell_angle_gamma 90.00
_symmetry_space_group_name_H-M 'P 4/m m m'
_symmetry_Int_Tables_number 123
_symmetry_space_group_name_Hall '-P 4 2'
loop_
_atom_site_label
_atom_site_type_symbol
_atom_site_fract_x
_atom_site_fract_y
_atom_site_fract_z
Ce1 Ce 0.0000 0.0000 0.0000
Al1 Al 0.5000 0.5000 0.2405
B1 B 0.0000 0.0000 0.5000
Ru1 Ru 0.0000 0.5000 0.5000
```

---

5.
Calculated powder XRD pattern of CdPbF6 for Cu Kα X-rays, from a GGA-PBE-relaxed structure.

Peak list (10 most intense, 2θ from 15° to 90°, by angle)
(1 0 1), 18.99 deg, intensity 10
(0 1 2), 21.53 deg, intensity 100
(1 0 4), 29.68 deg, intensity 36
(1 1 0), 31.56 deg, intensity 23
(2 0 2), 38.52 deg, intensity 15
(0 2 4), 43.87 deg, intensity 18
(1 1 6), 48.10 deg, intensity 29
(1 2 2), 50.62 deg, intensity 19
(2 1 4), 55.04 deg, intensity 14
(3 0 0), 56.19 deg, intensity 10

Structural model:
```
data_CdPbF6
_chemical_formula_sum 'Cd3 Pb3 F18'
_cell_length_a 5.6705
_cell_length_b 5.6705
_cell_length_c 15.2363
_cell_angle_alpha 90.00
_cell_angle_beta 90.00
_cell_angle_gamma 120.00
_symmetry_space_group_name_H-M 'R -3'
_symmetry_Int_Tables_number 148
_symmetry_space_group_name_Hall '-R 3'
loop_
_atom_site_label
_atom_site_type_symbol
_atom_site_fract_x
_atom_site_fract_y
_atom_site_fract_z
Cd1 Cd 0.0000 0.0000 0.0000
Pb1 Pb 0.0000 0.0000 0.5000
F1 F 0.0107 0.6247 0.2463
```

---

6.
Calculated powder XRD pattern of Hf5Si4 for Cu Kα X-rays, from a GGA-PBE-relaxed structure.

Peak list (10 most intense, 2θ from 15° to 90°, by angle)
(1 1 3), 27.39 deg, intensity 36
(2 0 2), 28.81 deg, intensity 44
(2 1 1), 29.08 deg, intensity 32
(1 1 4), 33.10 deg, intensity 40
(2 1 3), 35.25 deg, intensity 75
(2 2 1), 36.62 deg, intensity 100
(1 1 5), 39.36 deg, intensity 69
(3 0 2), 40.77 deg, intensity 69
(3 1 6), 59.73 deg, intensity 41
(3 3 4), 62.79 deg, intensity 33

Structural model:
```
data_Hf5Si4
_chemical_formula_sum 'Hf20 Si16'
_cell_length_a 7.0703
_cell_length_b 7.0703
_cell_length_c 12.8766
_cell_angle_alpha 90.00
_cell_angle_beta 90.00
_cell_angle_gamma 90.00
_symmetry_space_group_name_H-M 'P 41 21 2'
_symmetry_Int_Tables_number 92
_symmetry_space_group_name_Hall 'P 4abw 2nw'
loop_
_atom_site_label
_atom_site_type_symbol
_atom_site_fract_x
_atom_site_fract_y
_atom_site_fract_z
Hf1 Hf 0.9999 0.1459 0.1236
Hf2 Hf 0.0038 0.6502 0.2154
Hf3 Hf 0.1754 0.1754 0.5000
Si1 Si 0.0491 0.3016 0.3140
Si2 Si 0.1472 0.7964 0.4278
```

---

Copy entry 3 word for word.
Calculated powder XRD pattern of Na3SO4F for Cu Kα X-rays, from a GGA-PBE-relaxed structure.

Peak list (10 most intense, 2θ from 15° to 90°, by angle)
(1 0 0), 17.95 deg, intensity 15
(1 1 0), 25.50 deg, intensity 47
(1 1 1), 31.36 deg, intensity 100
(2 0 0), 36.37 deg, intensity 34
(2 1 1), 44.94 deg, intensity 19
(2 2 0), 52.38 deg, intensity 61
(3 1 1), 62.33 deg, intensity 19
(2 2 2), 65.44 deg, intensity 12
(3 3 1), 85.71 deg, intensity 15
(4 2 0), 88.50 deg, intensity 18

Structural model:
```
data_Na3SO4F
_chemical_formula_sum 'Na3 S1 O4 F1'
_cell_length_a 4.9408
_cell_length_b 4.9408
_cell_length_c 4.9408
_cell_angle_alpha 90.00
_cell_angle_beta 90.00
_cell_angle_gamma 90.00
_symmetry_space_group_name_H-M 'P -4 3 m'
_symmetry_Int_Tables_number 215
_symmetry_space_group_name_Hall 'P -4 2 3'
loop_
_atom_site_label
_atom_site_type_symbol
_atom_site_fract_x
_atom_site_fract_y
_atom_site_fract_z
Na1 Na 0.0000 0.0000 0.5000
S1 S 0.5000 0.5000 0.5000
O1 O 0.3245 0.3245 0.3245
F1 F 0.0000 0.0000 0.0000
```